Entry 1:
The following is a theoretical X-ray diffraction stick pattern of Ho3Cu2Pt5. It was derived from a cell relaxed with GGA-PBE, using Cu Kα, 1.54184 Å.
Peak positions follow from Bragg's law for the DFT cell and can differ from measured ones.

Structure:
a = 9.540 Å, b = 9.540 Å, c = 3.972 Å
α = 90.00°, β = 90.00°, γ = 90.00°
Space group P4/mbm (No. 127)
Asymmetric unit:
Ho1 0.000 0.000 0.000 (multiplicity 2)
Ho2 0.175 0.325 0.000 (multiplicity 4)
Cu1 0.119 0.619 0.000 (multiplicity 4)
Pt1 0.000 0.500 0.500 (multiplicity 2)
Pt2 0.073 0.788 0.500 (multiplicity 8)

Main lines, in order of falling intensity (2θ = 10–90°):
| Position (°2θ) | d [Å] | intensity | h k l |
| --- | --- | --- | --- |
| 37.4 | 2.402 | 100 | 3 1 1 |
| 38.9 | 2.314 | 47 | 4 1 0 |
| 41.0 | 2.202 | 39 | 3 2 1 |
| 30.8 | 2.907 | 36 | 2 1 1 |
| 45.7 | 1.986 | 30 | 0 0 2 |
| 61.5 | 1.507 | 29 | 4 1 2 |
| 34.9 | 2.571 | 25 | 2 2 1 |
| 42.4 | 2.133 | 24 | 4 2 0 |
| 74.2 | 1.277 | 16 | 7 1 1 |
| 64.1 | 1.454 | 14 | 4 2 2 |


Entry 2:
The following is a theoretical X-ray diffraction stick pattern of Sn3SbAu4. It was derived from a cell relaxed with GGA-PBE, using Cu Kα, 1.54184 Å.
Peak positions follow from Bragg's law for the DFT cell and can differ from measured ones.

Structure:
a = 5.790 Å, b = 5.790 Å, c = 11.380 Å
α = 90.00°, β = 90.00°, γ = 90.00°
Space group I4/mmm (No. 139)
Asymmetric unit:
Sn1 0.000 0.000 0.000 (multiplicity 2)
Sn2 0.000 0.500 0.250 (multiplicity 4)
Sb1 0.000 0.000 0.500 (multiplicity 2)
Au1 0.000 0.000 0.248 (multiplicity 4)
Au2 0.000 0.500 0.000 (multiplicity 4)

Main lines, in order of falling intensity (2θ = 10–90°):
| Position (°2θ) | d [Å] | intensity | h k l |
| --- | --- | --- | --- |
| 30.9 | 2.895 | 100 | 2 0 0 |
| 44.7 | 2.029 | 74 | 2 0 4 |
| 31.4 | 2.845 | 48 | 0 0 4 |
| 55.3 | 1.662 | 40 | 2 2 4 |
| 44.2 | 2.047 | 38 | 2 2 0 |
| 81.7 | 1.178 | 27 | 4 2 4 |
| 73.1 | 1.295 | 18 | 4 2 0 |
| 73.4 | 1.290 | 17 | 4 0 4 |
| 74.3 | 1.277 | 17 | 2 0 8 |
| 26.8 | 3.323 | 16 | 1 1 2 |


Entry 3:
The following is a theoretical X-ray diffraction stick pattern of ZrNpU2S4. It was derived from a cell relaxed with GGA-PBE, using Cu Kα, 1.54184 Å.
Peak positions follow from Bragg's law for the DFT cell and can differ from measured ones.

Structure:
a = 6.610 Å, b = 3.812 Å, c = 6.664 Å
α = 90.00°, β = 109.29°, γ = 90.00°
Space group P2/m (No. 10)
Asymmetric unit:
Zr1 0.000 0.000 0.000 (multiplicity 1)
Np1 0.500 0.500 0.000 (multiplicity 1)
U1 0.000 0.500 0.500 (multiplicity 1)
U2 0.500 0.000 0.500 (multiplicity 1)
S1 0.241 0.500 0.242 (multiplicity 2)
S2 0.245 0.000 0.756 (multiplicity 2)

Main lines, in order of falling intensity (2θ = 10–90°):
| Position (°2θ) | d [Å] | intensity | h k l |
| --- | --- | --- | --- |
| 33.1 | 2.706 | 100 | 1 1 1 |
| 28.6 | 3.118 | 72 | 2 0 0 |
| 47.4 | 1.920 | 37 | 2 0 2 |
| 47.7 | 1.907 | 36 | 0 2 0 |
| 28.4 | 3.145 | 24 | 0 0 2 |
| 56.4 | 1.631 | 24 | 3 1 1 |
| 59.3 | 1.559 | 19 | 2 2 -2 |
| 78.9 | 1.213 | 17 | 0 2 4 |
| 79.4 | 1.207 | 17 | 1 3 1 |
| 56.1 | 1.639 | 12 | 1 1 3 |


Entry 4:
The following is a theoretical X-ray diffraction stick pattern of Dy6MgGe2S14. It was derived from a cell relaxed with GGA-PBE, using Cu Kα, 1.54184 Å.
Peak positions follow from Bragg's law for the DFT cell and can differ from measured ones.

Structure:
a = 9.8348 Å, b = 9.8348 Å, c = 5.8454 Å
α = 90.00°, β = 90.00°, γ = 120.00°
Space group P3 (No. 143)
Asymmetric unit:
Dy1 0.0241 0.5536 0.0000 (multiplicity 3)
Dy2 0.3062 0.1098 0.5068 (multiplicity 3)
Mg1 0.6667 0.3333 0.3017 (multiplicity 1)
Ge1 0.0000 0.0000 0.9290 (multiplicity 1)
Ge2 0.3333 0.6667 0.4196 (multiplicity 1)
S1 0.0000 0.0000 0.3062 (multiplicity 1)
S2 0.0885 0.8522 0.7667 (multiplicity 3)
S3 0.1866 0.4299 0.2587 (multiplicity 3)
S4 0.3333 0.6667 0.7978 (multiplicity 1)
S5 0.4152 0.1821 0.0643 (multiplicity 3)
S6 0.5127 0.4317 0.5462 (multiplicity 3)

Main lines, in order of falling intensity (2θ = 10–90°):
| Position (°2θ) | d [Å] | intensity | h k l |
| --- | --- | --- | --- |
| 25.9 | 3.442 | 100 | 0 2 1 |
| 36.5 | 2.459 | 37 | 2 2 0 |
| 51.6 | 1.772 | 36 | 1 4 1 |
| 20.9 | 4.259 | 31 | 2 0 0 |
| 37.3 | 2.410 | 29 | 2 0 2 |
| 41.2 | 2.190 | 24 | 3 1 1 |
| 23.6 | 3.763 | 22 | 2 -1 1 |
| 41.7 | 2.164 | 21 | 1 2 2 |
| 38.1 | 2.362 | 21 | 1 3 0 |
| 30.6 | 2.923 | 18 | 0 0 2 |


Entry 5:
The following is a theoretical X-ray diffraction stick pattern of SrHgGeF6. It was derived from a cell relaxed with GGA-PBE, using Cu Kα, 1.54184 Å.
Peak positions follow from Bragg's law for the DFT cell and can differ from measured ones.

Structure:
a = 5.937 Å, b = 6.157 Å, c = 6.237 Å
α = 89.13°, β = 88.13°, γ = 61.28°
Space group P1 (No. 1)
Asymmetric unit:
Sr1 0.000 0.000 0.000 (multiplicity 1)
Hg1 0.656 0.690 0.500 (multiplicity 1)
Ge1 0.327 0.348 0.000 (multiplicity 1)
F1 0.073 0.328 0.161 (multiplicity 1)
F2 0.096 0.599 0.831 (multiplicity 1)
F3 0.306 0.600 0.168 (multiplicity 1)
F4 0.314 0.111 0.831 (multiplicity 1)
F5 0.575 0.112 0.169 (multiplicity 1)
F6 0.601 0.327 0.838 (multiplicity 1)

Main lines, in order of falling intensity (2θ = 10–90°):
| Position (°2θ) | d [Å] | intensity | h k l |
| --- | --- | --- | --- |
| 21.9 | 4.051 | 100 | 1 1 1 |
| 21.8 | 4.081 | 96 | 0 1 1 |
| 22.6 | 3.938 | 94 | 1 1 -1 |
| 29.0 | 3.078 | 58 | 1 2 0 |
| 40.9 | 2.209 | 46 | 1 2 2 |
| 30.1 | 2.967 | 29 | 2 1 0 |
| 28.6 | 3.117 | 27 | 0 0 2 |
| 36.3 | 2.477 | 25 | 0 2 1 |
| 41.6 | 2.172 | 23 | -1 1 2 |
| 42.8 | 2.115 | 20 | 2 1 -2 |


Entry 6:
The following is a theoretical X-ray diffraction stick pattern of Pr6YCd. It was derived from a cell relaxed with GGA-PBE, using Cu Kα, 1.54184 Å.
Peak positions follow from Bragg's law for the DFT cell and can differ from measured ones.

Structure:
a = 5.083 Å, b = 5.083 Å, c = 10.374 Å
α = 90.00°, β = 90.00°, γ = 90.00°
Space group P4/mmm (No. 123)
Asymmetric unit:
Pr1 0.000 0.000 0.000 (multiplicity 1)
Pr2 0.000 0.000 0.500 (multiplicity 1)
Pr3 0.000 0.500 0.245 (multiplicity 4)
Y1 0.500 0.500 0.500 (multiplicity 1)
Cd1 0.500 0.500 0.000 (multiplicity 1)

Main lines, in order of falling intensity (2θ = 10–90°):
| Position (°2θ) | d [Å] | intensity | h k l |
| --- | --- | --- | --- |
| 30.3 | 2.954 | 100 | 1 1 2 |
| 35.3 | 2.541 | 33 | 2 0 0 |
| 60.3 | 1.535 | 28 | 3 1 2 |
| 50.3 | 1.815 | 24 | 2 0 4 |
| 34.6 | 2.594 | 17 | 0 0 4 |
| 59.3 | 1.558 | 14 | 1 1 6 |
| 62.9 | 1.477 | 12 | 2 2 4 |
| 50.8 | 1.797 | 12 | 2 2 0 |
| 81.8 | 1.177 | 11 | 3 1 6 |
| 82.7 | 1.167 | 6 | 3 3 2 |


Entry 7:
The following is a theoretical X-ray diffraction stick pattern of La4Ge2Pd. It was derived from a cell relaxed with GGA-PBE, using Cu Kα, 1.54184 Å.
Peak positions follow from Bragg's law for the DFT cell and can differ from measured ones.

Structure:
a = 9.184 Å, b = 9.185 Å, c = 9.548 Å
α = 90.00°, β = 90.00°, γ = 90.00°
Space group I2_12_12_1 (No. 24)
Asymmetric unit:
La1 0.070 0.063 0.063 (multiplicity 8)
La2 0.187 0.320 0.687 (multiplicity 8)
Ge1 0.117 0.000 0.750 (multiplicity 4)
Ge2 0.250 0.367 0.000 (multiplicity 4)
Pd1 0.000 0.250 0.375 (multiplicity 4)

Main lines, in order of falling intensity (2θ = 10–90°):
| Position (°2θ) | d [Å] | intensity | h k l |
| --- | --- | --- | --- |
| 29.7 | 3.007 | 100 | 1 0 3 |
| 30.8 | 2.904 | 91 | 3 1 0 |
| 30.7 | 2.915 | 83 | 0 3 1 |
| 36.2 | 2.481 | 59 | 1 3 2 |
| 36.5 | 2.461 | 52 | 3 2 1 |
| 35.7 | 2.516 | 49 | 2 1 3 |
| 50.6 | 1.803 | 29 | 4 3 1 |
| 50.0 | 1.825 | 29 | 4 1 3 |
| 48.2 | 1.887 | 27 | 4 2 2 |
| 26.9 | 3.310 | 24 | 2 0 2 |


Entry 8:
The following is a theoretical X-ray diffraction stick pattern of Ac8P3RhS4. It was derived from a cell relaxed with GGA-PBE, using Cu Kα, 1.54184 Å.
Peak positions follow from Bragg's law for the DFT cell and can differ from measured ones.

Structure:
a = 8.7653 Å, b = 8.7653 Å, c = 21.4243 Å
α = 90.00°, β = 90.00°, γ = 120.00°
Space group R-3m (No. 166, hexagonal axes)
Asymmetric unit:
Ac1 0.0000 0.0000 0.2482 (multiplicity 6)
Ac2 0.0029 0.5015 0.2472 (multiplicity 18)
P1 0.0000 0.5000 0.5000 (multiplicity 9)
Rh1 0.0000 0.0000 0.5000 (multiplicity 3)
S1 0.0000 0.0000 0.0000 (multiplicity 3)
S2 0.0000 0.5000 0.0000 (multiplicity 9)

Main lines, in order of falling intensity (2θ = 10–90°):
| Position (°2θ) | d [Å] | intensity | h k l |
| --- | --- | --- | --- |
| 28.8 | 3.097 | 100 | 0 2 4 |
| 24.9 | 3.576 | 87 | 2 0 2 |
| 41.2 | 2.190 | 76 | 2 2 0 |
| 48.8 | 1.867 | 46 | 0 4 2 |
| 67.6 | 1.385 | 35 | 2 4 4 |
| 51.1 | 1.789 | 21 | 4 0 4 |
| 75.1 | 1.265 | 20 | 6 0 0 |
| 65.7 | 1.421 | 15 | 4 2 2 |
| 59.7 | 1.548 | 13 | 0 4 8 |
| 80.6 | 1.192 | 11 | 6 0 6 |